# Cs2CaTcO6
Theoretical PXRD pattern, a wavelength of 1.5418 Å. Input: a cell relaxed with GGA-PBE.

Most intense lines, 2θ = 5–70°, sorted by position:
- 2θ 15.05, intensity 54.1, (0 0 1)
- 2θ 21.54, intensity 63.9, (1 0 1)
- 2θ 26.70, intensity 100.0, (1 1 0)
- 2θ 30.79, intensity 38.6, (1 1 1)
- 2θ 34.17, intensity 45.4, (0 1 2)
- 2θ 34.56, intensity 43.6, (0 2 1)
- 2θ 43.89, intensity 38.3, (2 0 2)
- 2θ 47.15, intensity 18.3, (3 0 0)
- 2θ 52.12, intensity 31.5, (1 2 2)
- 2θ 55.01, intensity 17.3, (2 2 0)

Crystal structure
abc: 6.6770 6.6770 5.8884
angles: 90.00 90.00 120.00
Space group P-3m1 (No. 164)
One atom of each set of equivalent atoms:
Cs: 0.3333 0.6667 0.1508 x2
Ca: 0.0000 0.0000 0.5000 x1
Tc: 0.0000 0.0000 0.0000 x1
O: 0.1315 0.2631 0.8062 x6